For AlH3Rh3, a structure optimized by DFT (GGA-PBE) gives the calculated powder XRD pattern in this record (Cu Kα (λ = 1.5418 Å)).

The 12 most intense peaks (10° ≤ 2θ ≤ 90°), most intense first:
2θ/deg, I (rel.), hkl
36.9, 100, 1 1 1
40.6, 67, 2 0 1
44.5, 46, 2 1 0
66.2, 28, 2 1 2
81.8, 27, 3 2 1
46.2, 26, 0 0 2
67.1, 23, 1 3 1
28.7, 22, 1 1 0
28.1, 21, 1 0 1
62.2, 13, 1 3 0
80.9, 12, 1 3 2
79.4, 10, 1 1 3

Crystal structure
```
AlH3Rh3
1.0
6.2134 0.0000 0.0000
-3.1067 5.3810 0.0000
0.0000 0.0000 3.9270
Al H Rh
2 6 6
direct
0.3333 0.6667 0.2500
0.6667 0.3333 0.7500
0.0609 0.8219 0.2500
0.1781 0.2389 0.2500
0.2389 0.0609 0.7500
0.7611 0.9391 0.2500
0.8219 0.7611 0.7500
0.9391 0.1781 0.7500
0.0952 0.7224 0.7500
0.2776 0.3727 0.7500
0.3727 0.0952 0.2500
0.6273 0.9048 0.7500
0.7224 0.6273 0.2500
0.9048 0.2776 0.2500
```